[1]
This entry pairs a crystal structure of BaF2 with its computed powder X-ray diffraction pattern. Radiation: copper Kα. Structure: a GGA-PBE-relaxed structure.

Crystal structure
Lattice parameters (Å, degrees): 6.800 4.110 8.046 90.00 90.00 90.00
Fractional positions:
Ba 0.249 0.250 0.114
Ba 0.251 0.750 0.614
Ba 0.749 0.250 0.386
Ba 0.751 0.750 0.886
F 0.028 0.750 0.333
F 0.143 0.750 0.929
F 0.357 0.250 0.429
F 0.472 0.250 0.833
F 0.528 0.750 0.167
F 0.643 0.750 0.571
F 0.857 0.250 0.071
F 0.972 0.250 0.667

Most intense lines, 2θ from 10° to 90°, low angle first:
d/Å	2θ (°)	intensity
3.660	24.32	52
3.462	25.73	100
3.400	26.21	49
3.223	27.68	95
2.491	36.05	70
2.246	40.15	39
2.133	42.38	24
2.055	44.06	25
1.975	45.96	33
1.927	47.16	31
1.874	48.58	35
1.767	51.72	30

---

[2]
This entry pairs a crystal structure of Ba3Nb2ZnO9 with its computed powder X-ray diffraction pattern. Radiation: copper Kα. Structure: a GGA-PBE-relaxed structure.

Crystal structure
Lattice parameters (Å, degrees): 5.871 5.871 7.212 90.00 90.00 120.00
Fractional positions:
Ba 0.000 0.000 0.000
Ba 0.333 0.667 0.666
Ba 0.667 0.333 0.334
Nb 0.333 0.667 0.177
Nb 0.667 0.333 0.823
Zn 0.000 0.000 0.500
O 0.000 0.500 0.000
O 0.172 0.344 0.324
O 0.172 0.828 0.324
O 0.344 0.172 0.676
O 0.500 0.000 0.000
O 0.500 0.500 0.000
O 0.656 0.828 0.324
O 0.828 0.172 0.676
O 0.828 0.656 0.676

Most intense lines, 2θ from 10° to 90°, low angle first:
d/Å	2θ (°)	intensity
2.939	30.42	100
2.399	37.48	8
2.078	43.56	32
1.699	53.96	10
1.696	54.08	30
1.471	63.23	10
1.468	63.36	10
1.314	71.84	17
1.199	80.04	5
1.112	87.75	5
1.110	87.94	10
1.110	88.02	5

---

[3]
This entry pairs a crystal structure of SmS with its computed powder X-ray diffraction pattern. Radiation: copper Kα. Structure: a GGA-PBE-relaxed structure.

Crystal structure
Lattice parameters (Å, degrees): 3.919 3.919 21.299 90.00 90.00 90.00
Fractional positions:
Sm 0.000 0.000 0.193
Sm 0.000 0.000 0.807
Sm 0.500 0.500 0.307
Sm 0.500 0.500 0.693
S 0.000 0.000 0.326
S 0.000 0.000 0.674
S 0.500 0.500 0.174
S 0.500 0.500 0.826

Most intense lines, 2θ from 10° to 90°, low angle first:
d/Å	2θ (°)	intensity
3.550	25.09	39
3.431	25.97	100
2.884	31.01	99
2.771	32.31	100
2.682	33.41	95
2.662	33.66	39
2.403	37.42	35
2.184	41.33	40
1.959	46.34	36
1.927	47.16	35
1.920	47.35	59
1.621	56.80	37

---

[4]
This entry pairs a crystal structure of Cu3PdAu4 with its computed powder X-ray diffraction pattern. Radiation: copper Kα. Structure: a GGA-PBE-relaxed structure.

Crystal structure
Lattice parameters (Å, degrees): 2.903 2.903 14.681 90.00 90.00 90.00
Fractional positions:
Cu 0.000 0.000 0.000
Cu 0.000 0.000 0.246
Cu 0.000 0.000 0.754
Pd 0.000 0.000 0.500
Au 0.500 0.500 0.124
Au 0.500 0.500 0.365
Au 0.500 0.500 0.635
Au 0.500 0.500 0.876

Most intense lines, 2θ from 10° to 90°, low angle first:
d/Å	2θ (°)	intensity
3.670	24.25	15
2.903	30.80	18
2.277	39.58	100
2.053	44.12	38
1.835	49.68	12
1.792	50.97	9
1.551	59.60	5
1.451	64.16	12
1.368	68.60	18
1.224	78.08	28
1.138	85.25	10
1.127	86.29	9

---

[5]
This entry pairs a crystal structure of Mg2Ti3AlS8 with its computed powder X-ray diffraction pattern. Radiation: copper Kα. Structure: a GGA-PBE-relaxed structure.

Crystal structure
Lattice parameters (Å, degrees): 7.247 7.247 7.393 119.28 119.28 60.06
Fractional positions:
Mg 0.125 0.125 0.376
Mg 0.875 0.875 0.624
Ti 0.000 0.500 0.000
Ti 0.500 0.000 0.000
Ti 0.500 0.500 0.000
Al 0.500 0.500 0.500
S 0.259 0.259 0.777
S 0.264 0.264 0.245
S 0.264 0.717 0.245
S 0.283 0.736 0.755
S 0.717 0.264 0.245
S 0.736 0.283 0.755
S 0.736 0.736 0.755
S 0.741 0.741 0.223

Most intense lines, 2θ from 10° to 90°, low angle first:
d/Å	2θ (°)	intensity
6.101	14.52	21
5.938	14.92	31
3.162	28.22	13
3.116	28.65	25
3.094	28.86	25
2.588	34.65	100
2.009	45.13	12
1.991	45.56	19
1.849	49.29	53
1.812	50.35	48
1.485	62.57	13
1.294	73.12	14

---

[6]
This entry pairs a crystal structure of BaFe4Sb12 with its computed powder X-ray diffraction pattern. Radiation: copper Kα. Structure: a GGA-PBE-relaxed structure.

Crystal structure
Lattice parameters (Å, degrees): 8.008 8.008 8.008 109.47 109.47 109.47
Fractional positions:
Ba 0.000 0.000 0.000
Fe 0.000 0.000 0.500
Fe 0.000 0.500 0.000
Fe 0.500 0.000 0.000
Fe 0.500 0.500 0.500
Sb 0.163 0.338 0.501
Sb 0.163 0.662 0.826
Sb 0.174 0.837 0.338
Sb 0.338 0.174 0.837
Sb 0.338 0.501 0.163
Sb 0.499 0.837 0.662
Sb 0.501 0.163 0.338
Sb 0.662 0.499 0.837
Sb 0.662 0.826 0.163
Sb 0.826 0.163 0.662
Sb 0.837 0.338 0.174
Sb 0.837 0.662 0.499

Most intense lines, 2θ from 10° to 90°, low angle first:
d/Å	2θ (°)	intensity
2.924	30.57	100
2.471	36.35	47
2.068	43.78	12
1.888	48.21	21
1.813	50.31	24
1.586	58.17	15
1.541	60.03	12
1.500	61.85	8
1.363	68.87	18
1.308	72.24	6
1.214	78.83	8
1.105	88.46	8

---

[7]
This entry pairs a crystal structure of BiOF with its computed powder X-ray diffraction pattern. Radiation: copper Kα. Structure: a GGA-PBE-relaxed structure.

Crystal structure
Lattice parameters (Å, degrees): 8.347 3.949 12.425 90.00 109.13 90.00
Fractional positions:
Bi 0.053 0.250 0.375
Bi 0.179 0.750 0.163
Bi 0.328 0.250 0.906
Bi 0.413 0.750 0.622
Bi 0.587 0.250 0.378
Bi 0.672 0.750 0.094
Bi 0.821 0.250 0.837
Bi 0.947 0.750 0.625
O 0.001 0.250 0.744
O 0.148 0.750 0.511
O 0.251 0.250 0.263
O 0.387 0.750 0.004
O 0.613 0.250 0.996
O 0.749 0.750 0.737
O 0.852 0.250 0.489
O 0.999 0.750 0.256
F 0.125 0.250 0.000
F 0.258 0.750 0.747
F 0.401 0.250 0.512
F 0.486 0.250 0.744
F 0.514 0.750 0.256
F 0.599 0.750 0.488
F 0.742 0.250 0.253
F 0.875 0.750 0.000

Most intense lines, 2θ from 10° to 90°, low angle first:
d/Å	2θ (°)	intensity
3.415	26.09	57
3.387	26.31	47
3.276	27.22	100
2.935	30.46	17
2.868	31.18	49
2.087	43.37	18
2.057	44.01	33
2.045	44.30	30
1.974	45.97	19
1.764	51.84	19
1.755	52.12	20
1.709	53.63	21

---

[8]
This entry pairs a crystal structure of CdSnF6 with its computed powder X-ray diffraction pattern. Radiation: copper Kα. Structure: a GGA-PBE-relaxed structure.

Crystal structure
Lattice parameters (Å, degrees): 5.907 5.907 5.907 55.73 55.73 55.73
Fractional positions:
Cd 0.000 0.000 0.000
Sn 0.500 0.500 0.500
F 0.143 0.390 0.733
F 0.267 0.857 0.610
F 0.390 0.733 0.143
F 0.610 0.267 0.857
F 0.733 0.143 0.390
F 0.857 0.610 0.267

Most intense lines, 2θ from 10° to 90°, low angle first:
d/Å	2θ (°)	intensity
4.026	22.08	100
2.941	30.39	34
2.761	32.43	19
2.414	37.25	7
2.277	39.58	13
2.013	45.04	17
1.848	49.32	29
1.757	52.06	17
1.737	52.68	7
1.627	56.58	13
1.594	57.84	11
1.306	72.36	8

---

[9]
This entry pairs a crystal structure of MgCu4Ag2P2S8 with its computed powder X-ray diffraction pattern. Radiation: copper Kα. Structure: a GGA-PBE-relaxed structure.

Crystal structure
Lattice parameters (Å, degrees): 6.415 8.041 6.562 90.00 94.57 90.00
Fractional positions:
Mg 0.000 0.000 0.000
Cu 0.336 0.250 0.261
Cu 0.336 0.750 0.261
Cu 0.861 0.328 0.998
Cu 0.861 0.672 0.998
Ag 0.345 0.000 0.747
Ag 0.894 0.500 0.401
P 0.392 0.500 0.752
P 0.826 0.000 0.413
S 0.151 0.000 0.383
S 0.191 0.253 0.934
S 0.191 0.747 0.934
S 0.293 0.500 0.434
S 0.696 0.213 0.254
S 0.696 0.787 0.254
S 0.725 0.000 0.699
S 0.727 0.500 0.747

Most intense lines, 2θ from 10° to 90°, low angle first:
d/Å	2θ (°)	intensity
5.005	17.72	48
3.425	26.01	100
3.197	27.91	68
3.073	29.06	53
3.011	29.67	24
2.969	30.10	54
2.822	31.71	49
2.386	37.70	25
2.289	39.36	33
2.010	45.10	33
1.917	47.43	54
1.845	49.41	34

---

[10]
This entry pairs a crystal structure of Rb2HgBiCl6 with its computed powder X-ray diffraction pattern. Radiation: copper Kα. Structure: a GGA-PBE-relaxed structure.

Crystal structure
Lattice parameters (Å, degrees): 7.908 7.908 7.908 60.00 60.00 60.00
Fractional positions:
Rb 0.250 0.250 0.250
Rb 0.750 0.750 0.750
Hg 0.000 0.000 0.000
Bi 0.500 0.500 0.500
Cl 0.257 0.257 0.743
Cl 0.257 0.743 0.257
Cl 0.257 0.743 0.743
Cl 0.743 0.257 0.257
Cl 0.743 0.257 0.743
Cl 0.743 0.743 0.257

Most intense lines, 2θ from 10° to 90°, low angle first:
d/Å	2θ (°)	intensity
5.591	15.85	41
3.954	22.49	100
2.796	32.01	52
2.501	35.91	22
2.283	39.48	49
1.977	45.90	37
1.768	51.70	23
1.614	57.06	13
1.494	62.11	27
1.318	71.60	13
1.250	76.14	16
1.097	89.34	16

---

[11]
This entry pairs a crystal structure of K4AsH5S3O16 with its computed powder X-ray diffraction pattern. Radiation: copper Kα. Structure: a GGA-PBE-relaxed structure.

Crystal structure
Lattice parameters (Å, degrees): 9.032 10.313 10.941 72.55 66.76 65.28
Fractional positions:
K 0.217 0.045 0.004
K 0.232 0.571 0.095
K 0.245 0.928 0.399
K 0.267 0.478 0.511
K 0.733 0.522 0.489
K 0.755 0.072 0.601
K 0.768 0.429 0.905
K 0.783 0.955 0.996
As 0.472 0.817 0.721
As 0.528 0.183 0.279
H 0.190 0.409 0.852
H 0.218 0.774 0.862
H 0.257 0.262 0.255
H 0.322 0.114 0.644
H 0.328 0.739 0.631
H 0.672 0.261 0.369
H 0.678 0.886 0.356
H 0.743 0.738 0.745
H 0.782 0.226 0.138
H 0.810 0.591 0.148
S 0.036 0.696 0.771
S 0.044 0.186 0.685
S 0.468 0.321 0.816
S 0.532 0.679 0.184
S 0.956 0.814 0.315
S 0.964 0.304 0.229
O 0.014 0.146 0.832
O 0.040 0.544 0.799
O 0.051 0.072 0.627
O 0.071 0.726 0.880
O 0.072 0.670 0.352
O 0.137 0.202 0.237
O 0.169 0.718 0.639
O 0.227 0.205 0.618
O 0.276 0.317 0.884
O 0.312 0.797 0.874
O 0.333 0.309 0.262
O 0.429 0.828 0.142
O 0.443 0.757 0.601
O 0.474 0.986 0.682
O 0.475 0.430 0.873
O 0.500 0.359 0.669
O 0.500 0.641 0.331
O 0.525 0.570 0.127
O 0.526 0.014 0.318
O 0.557 0.243 0.399
O 0.571 0.172 0.858
O 0.667 0.691 0.738
O 0.688 0.203 0.126
O 0.724 0.683 0.116
O 0.773 0.795 0.382
O 0.831 0.282 0.361
O 0.863 0.798 0.763
O 0.928 0.330 0.648
O 0.929 0.274 0.120
O 0.949 0.928 0.373
O 0.960 0.456 0.201
O 0.986 0.854 0.168

Most intense lines, 2θ from 10° to 90°, low angle first:
d/Å	2θ (°)	intensity
4.961	17.88	20
3.800	23.41	49
3.664	24.29	100
3.325	26.82	20
3.287	27.13	37
3.273	27.25	30
3.138	28.44	27
3.087	28.92	13
2.927	30.54	25
2.687	33.35	16
2.159	41.84	14
2.097	43.13	13

---

[12]
This entry pairs a crystal structure of Te4MoW2Se2 with its computed powder X-ray diffraction pattern. Radiation: copper Kα. Structure: a GGA-PBE-relaxed structure.

Crystal structure
Lattice parameters (Å, degrees): 3.480 3.480 32.057 90.00 90.00 120.00
Fractional positions:
Te 0.000 0.000 0.000
Te 0.000 0.000 0.115
Te 0.333 0.667 0.231
Te 0.333 0.667 0.347
Mo 0.000 0.000 0.826
W 0.000 0.000 0.289
W 0.333 0.667 0.058
Se 0.333 0.667 0.776
Se 0.333 0.667 0.877

Most intense lines, 2θ from 10° to 90°, low angle first:
d/Å	2θ (°)	intensity
8.014	11.04	100
6.411	13.81	13
3.014	29.64	34
3.000	29.78	14
2.821	31.72	13
2.625	34.16	53
2.517	35.66	66
2.196	41.11	30
2.095	43.18	49
1.739	52.63	38
1.279	74.15	16
1.105	88.45	12